# 1
For TmIn4Hg6, a structure optimized by DFT (GGA-PBE) gives the theoretical powder XRD pattern in this record (Cu Ka).
Lines closer than 0.1° are merged.

Principal peaks in the range 2θ from 10° to 80°, in order of rising 2θ:
2theta  I_rel
26.90  34
28.33  24
29.83  22
31.13  35
33.68  100
36.16  21
37.15  29
37.64  26
38.00  29
40.19  25

Cell: 3.384 10.241 10.241 Å, 57.30 90.00 90.00°
Sites, in units of the cell vectors:
Tm: 0.000 0.000 0.000
In: 0.000 0.579 0.579
In: 0.500 0.039 0.706
In: 0.500 0.159 0.159
In: 0.500 0.706 0.039
Hg: 0.000 0.075 0.440
Hg: 0.000 0.408 0.408
Hg: 0.000 0.440 0.075
Hg: 0.500 0.298 0.794
Hg: 0.500 0.724 0.724
Hg: 0.500 0.794 0.298

---

# 2
For Tm2In2Hg7, a structure optimized by DFT (GGA-PBE) gives the theoretical powder XRD pattern in this record (Cu Ka).
Lines closer than 0.1° are merged.

Principal peaks in the range 2θ from 10° to 80°, in order of rising 2θ:
2theta  I_rel
27.41  11
31.55  31
32.76  15
33.27  26
35.69  100
38.16  31
51.53  16
65.89  19
67.37  16
69.09  11

Cell: 9.240 9.240 9.240 Å, 150.43 54.87 134.88°
Sites, in units of the cell vectors:
Tm: 0.210 0.000 0.210
Tm: 0.790 0.000 0.790
In: 0.190 0.190 0.000
In: 0.501 0.001 0.500
Hg: 0.079 0.713 0.366
Hg: 0.331 0.496 0.835
Hg: 0.347 0.713 0.634
Hg: 0.644 0.280 0.363
Hg: 0.661 0.496 0.165
Hg: 0.787 0.787 0.000
Hg: 0.917 0.280 0.637

---

# 3
For TmIn2Hg3, a structure optimized by DFT (GGA-PBE) gives the theoretical powder XRD pattern in this record (Cu Ka).
Lines closer than 0.1° are merged.

Principal peaks in the range 2θ from 10° to 80°, in order of rising 2θ:
2theta  I_rel
33.79  100
36.24  20
37.78  19
43.32  13
53.35  14
57.72  11
63.62  15
65.68  15
71.07  12
73.37  11

Cell: 7.809 7.809 4.177 Å, 90.00 90.00 144.49°
Sites, in units of the cell vectors:
Tm: 0.000 0.000 0.000
In: 0.329 0.671 0.000
In: 0.671 0.329 0.000
Hg: 0.161 0.839 0.500
Hg: 0.500 0.500 0.500
Hg: 0.839 0.161 0.500

---

# 4
For Tm6In2Hg, a structure optimized by DFT (GGA-PBE) gives the theoretical powder XRD pattern in this record (Cu Ka).
Lines closer than 0.1° are merged.

Principal peaks in the range 2θ from 10° to 80°, in order of rising 2θ:
2theta  I_rel
27.18  23
29.59  24
30.59  47
30.81  19
32.44  30
33.78  100
34.19  29
34.38  65
38.64  13
50.98  13

Cell: 5.864 8.932 10.925 Å, 90.00 118.25 90.00°
Sites, in units of the cell vectors:
Tm: 0.018 0.168 0.433
Tm: 0.018 0.332 0.933
Tm: 0.382 0.675 0.435
Tm: 0.382 0.825 0.935
Tm: 0.399 0.024 0.311
Tm: 0.399 0.476 0.811
Tm: 0.601 0.524 0.189
Tm: 0.601 0.976 0.689
Tm: 0.618 0.175 0.065
Tm: 0.618 0.325 0.565
Tm: 0.982 0.668 0.067
Tm: 0.982 0.832 0.567
In: 0.176 0.136 0.748
In: 0.176 0.364 0.248
In: 0.824 0.636 0.752
In: 0.824 0.864 0.252
Hg: 0.000 0.000 0.000
Hg: 0.000 0.500 0.500

---

# 5
For TmIn6Hg12, a structure optimized by DFT (GGA-PBE) gives the theoretical powder XRD pattern in this record (Cu Ka).
Lines closer than 0.1° are merged.

Principal peaks in the range 2θ from 10° to 80°, in order of rising 2θ:
2theta  I_rel
24.59  22
26.85  14
33.13  73
33.83  46
35.22  100
36.22  41
37.37  17
38.64  12
48.47  12
61.88  14

Cell: 7.964 7.964 7.964 Å, 92.48 92.48 92.48°
Sites, in units of the cell vectors:
Tm: 0.000 0.000 0.000
In: 0.136 0.719 0.265
In: 0.265 0.136 0.719
In: 0.281 0.735 0.864
In: 0.719 0.265 0.136
In: 0.735 0.864 0.281
In: 0.864 0.281 0.735
Hg: 0.047 0.150 0.371
Hg: 0.150 0.371 0.047
Hg: 0.193 0.478 0.554
Hg: 0.371 0.047 0.150
Hg: 0.446 0.807 0.522
Hg: 0.478 0.554 0.193
Hg: 0.522 0.446 0.807
Hg: 0.554 0.193 0.478
Hg: 0.629 0.953 0.850
Hg: 0.807 0.522 0.446
Hg: 0.850 0.629 0.953
Hg: 0.953 0.850 0.629

---

# 6
For Tm5In2Hg, a structure optimized by DFT (GGA-PBE) gives the theoretical powder XRD pattern in this record (Cu Ka).
Lines closer than 0.1° are merged.

Principal peaks in the range 2θ from 10° to 80°, in order of rising 2θ:
2theta  I_rel
29.99  31
31.68  61
32.31  14
32.52  58
34.05  100
38.72  27
44.19  26
56.93  20
57.95  29
67.56  13

Cell: 6.741 6.741 13.051 Å, 90.00 90.00 130.46°
Sites, in units of the cell vectors:
Tm: 0.064 0.936 0.604
Tm: 0.064 0.936 0.896
Tm: 0.378 0.622 0.539
Tm: 0.378 0.622 0.961
Tm: 0.427 0.573 0.250
Tm: 0.573 0.427 0.750
Tm: 0.622 0.378 0.039
Tm: 0.622 0.378 0.461
Tm: 0.936 0.064 0.104
Tm: 0.936 0.064 0.396
In: 0.197 0.803 0.130
In: 0.197 0.803 0.370
In: 0.803 0.197 0.630
In: 0.803 0.197 0.870
Hg: 0.264 0.736 0.750
Hg: 0.736 0.264 0.250

---

# 7
For TmIn8Hg6, a structure optimized by DFT (GGA-PBE) gives the theoretical powder XRD pattern in this record (Cu Ka).
Lines closer than 0.1° are merged.

Principal peaks in the range 2θ from 10° to 80°, in order of rising 2θ:
2theta  I_rel
30.65  36
33.26  100
33.90  81
35.53  40
37.27  21
39.07  33
42.08  27
57.70  21
63.29  19
64.72  38

Cell: 7.992 7.992 7.992 Å, 65.00 65.00 65.00°
Sites, in units of the cell vectors:
Tm: 0.000 0.000 0.000
In: 0.112 0.725 0.725
In: 0.275 0.275 0.888
In: 0.275 0.888 0.275
In: 0.416 0.416 0.416
In: 0.584 0.584 0.584
In: 0.725 0.112 0.725
In: 0.725 0.725 0.112
In: 0.888 0.275 0.275
Hg: 0.158 0.158 0.549
Hg: 0.158 0.549 0.158
Hg: 0.451 0.842 0.842
Hg: 0.549 0.158 0.158
Hg: 0.842 0.451 0.842
Hg: 0.842 0.842 0.451

---

# 8
For Tm2ZnInHg, a structure optimized by DFT (GGA-PBE) gives the theoretical powder XRD pattern in this record (Cu Ka).
Lines closer than 0.1° are merged.

Principal peaks in the range 2θ from 10° to 80°, in order of rising 2θ:
2theta  I_rel
24.78  28
30.84  30
31.58  42
31.97  97
32.14  87
36.41  28
36.52  24
36.62  100
39.11  63
46.84  25

Cell: 7.242 4.606 7.429 Å, 90.00 105.08 90.00°
Sites, in units of the cell vectors:
Tm: 0.036 0.250 0.188
Tm: 0.396 0.750 0.635
Tm: 0.604 0.250 0.365
Tm: 0.964 0.750 0.812
Zn: 0.333 0.250 0.956
Zn: 0.667 0.750 0.044
In: 0.322 0.750 0.173
In: 0.678 0.250 0.827
Hg: 0.114 0.250 0.601
Hg: 0.886 0.750 0.399

---

# 9
For UInHg, a structure optimized by DFT (GGA-PBE) gives the theoretical powder XRD pattern in this record (Cu Ka).
Lines closer than 0.1° are merged.

Principal peaks in the range 2θ from 10° to 80°, in order of rising 2θ:
2theta  I_rel
30.56  28
33.50  39
33.66  10
34.96  31
37.74  100
45.98  18
56.33  14
62.70  23
66.25  11
67.15  17

Cell: 8.901 8.901 5.350 Å, 90.00 90.00 160.66°
Sites, in units of the cell vectors:
U: 0.233 0.767 0.750
U: 0.767 0.233 0.250
In: 0.103 0.897 0.250
In: 0.897 0.103 0.750
Hg: 0.439 0.561 0.250
Hg: 0.561 0.439 0.750

---

# 10
For YInHg, a structure optimized by DFT (GGA-PBE) gives the theoretical powder XRD pattern in this record (Cu Ka).
Lines closer than 0.1° are merged.

Principal peaks in the range 2θ from 10° to 80°, in order of rising 2θ:
2theta  I_rel
20.19  22
31.82  27
32.55  100
33.98  46
36.01  42
36.69  59
39.85  22
48.81  16
54.79  18
62.57  18

Cell: 6.595 4.988 9.327 Å, 90.00 90.00 90.00°
Sites, in units of the cell vectors:
Y: 0.124 0.250 0.127
Y: 0.376 0.750 0.627
Y: 0.624 0.250 0.373
Y: 0.876 0.750 0.873
In: 0.131 0.250 0.470
In: 0.369 0.750 0.970
In: 0.631 0.250 0.030
In: 0.869 0.750 0.530
Hg: 0.160 0.250 0.795
Hg: 0.340 0.750 0.295
Hg: 0.660 0.250 0.705
Hg: 0.840 0.750 0.205

---

# 11
For ZnIn5Hg7, a structure optimized by DFT (GGA-PBE) gives the theoretical powder XRD pattern in this record (Cu Ka).
Lines closer than 0.1° are merged.

Principal peaks in the range 2θ from 10° to 80°, in order of rising 2θ:
2theta  I_rel
27.18  47
28.69  100
31.78  78
32.65  80
32.92  28
36.89  61
37.04  64
39.93  78
46.54  42
58.00  28

Cell: 8.034 8.034 8.034 Å, 131.79 105.41 93.89°
Sites, in units of the cell vectors:
Zn: 0.000 0.000 0.000
In: 0.280 0.324 0.479
In: 0.280 0.800 0.955
In: 0.543 0.043 0.500
In: 0.845 0.324 0.045
In: 0.845 0.800 0.521
Hg: 0.265 0.765 0.500
Hg: 0.268 0.268 0.000
Hg: 0.543 0.543 0.000
Hg: 0.624 0.800 0.824
Hg: 0.645 0.309 0.337
Hg: 0.972 0.309 0.663
Hg: 0.976 0.800 0.176

---

# 12
For Zn2InHg, a structure optimized by DFT (GGA-PBE) gives the theoretical powder XRD pattern in this record (Cu Ka).
Lines closer than 0.1° are merged.

Principal peaks in the range 2θ from 10° to 80°, in order of rising 2θ:
2theta  I_rel
23.00  18
24.30  16
33.71  100
35.47  44
39.21  66
41.10  29
47.01  20
49.79  16
58.82  20
62.61  17

Cell: 4.724 4.724 3.908 Å, 95.29 95.29 101.69°
Sites, in units of the cell vectors:
Zn: 0.000 0.500 0.000
Zn: 0.500 0.000 0.000
In: 0.000 0.000 0.500
Hg: 0.500 0.500 0.500